Diffraction record for SiSbRh2. The XRD peak list is computed, not measured: it uses a DFT-relaxed cell (GGA-PBE, Alexandria) and CuKα.
No peak broadening, texture or thermal motion is included.

Largest 12 diffraction maxima, in order of rising 2θ, 2θ from 5° to 70°:
index  2θ (°)  intensity
1 1 0  28.6  38
1 1 1  34.5  100
2 0 -2  34.6  50
2 0 1  37.8  69
0 0 3  45.3  25
2 0 2  49.5  8
1 1 -3  49.6  15
0 2 0  49.8  67
2 2 -2  62.0  27
2 2 1  64.1  10
3 1 2  69.5  23
3 1 -4  69.7  12

```
data_SiSbRh2
_chemical_formula_sum 'Si2 Sb2 Rh4'
_cell_length_a 6.338
_cell_length_b 3.664
_cell_length_c 6.367
_cell_angle_alpha 90.00
_cell_angle_beta 109.20
_cell_angle_gamma 90.00
_symmetry_space_group_name_H-M 'P 1'
_symmetry_Int_Tables_number 1
_symmetry_space_group_name_Hall 'P 1'
loop_
_atom_site_label
_atom_site_type_symbol
_atom_site_fract_x
_atom_site_fract_y
_atom_site_fract_z
Si1 Si 0.000 0.000 0.000
Si2 Si 0.500 0.500 0.000
Sb1 Sb 0.000 0.500 0.500
Sb2 Sb 0.500 0.000 0.500
Rh1 Rh 0.224 0.500 0.174
Rh2 Rh 0.276 0.000 0.826
Rh3 Rh 0.724 0.000 0.174
Rh4 Rh 0.776 0.500 0.826
```